Entry 1:
For NaAg, a GGA-PBE-relaxed structure gives the computed X-ray powder pattern in this record (Cu Kα X-rays).
Neutral-atom scattering factors, no anomalous dispersion.

Atomic structure:
Lattice parameters (Å, degrees): 3.0146 5.1653 5.5561 90.00 90.00 90.00
Space group Pmmn (No. 59, origin choice 2)
Unique sites:
1 Na 0.2500 0.2500 0.1162
2 Ag 0.2500 0.7500 0.4108

Most intense lines, 2θ from 5° to 70°, by intensity:
index  Position (°2θ)  I_rel
0 0 1  15.95  100
1 1 1  38.17  99
0 1 2  36.73  68
0 2 0  34.74  47
1 1 0  34.45  40
1 0 1  33.83  31
0 1 1  23.52  26
0 2 1  38.44  22
1 2 1  49.27  21
1 2 3  69.85  20
1 3 1  64.55  19
1 0 3  58.49  18

***

Entry 2:
For CrTc2Cl, a GGA-PBE-relaxed structure gives the computed X-ray powder pattern in this record (Cu Kα X-rays).
Neutral-atom scattering factors, no anomalous dispersion.

Atomic structure:
Lattice parameters (Å, degrees): 2.9453 3.7355 6.9294 90.00 90.00 90.00
Space group Pmm2 (No. 25)
Unique sites:
1 Cr 0.0000 0.0000 0.0000
2 Tc 0.0000 0.0000 0.3123
3 Tc 0.5000 0.5000 0.1440
4 Cl 0.5000 0.5000 0.7969

Most intense lines, 2θ from 5° to 70°, by intensity:
index  Position (°2θ)  I_rel
0 0 1  12.78  100
1 1 0  38.94  40
0 1 3  46.21  23
1 1 1  41.15  22
1 0 3  50.19  18
0 1 2  35.33  15
1 0 2  40.19  10
0 2 0  48.76  10
0 1 1  27.12  7
0 2 1  50.62  6
1 2 2  64.96  5
2 0 0  63.13  4

***

Entry 3:
For Dy13Er2, a GGA-PBE-relaxed structure gives the computed X-ray powder pattern in this record (Cu Kα X-rays).
Neutral-atom scattering factors, no anomalous dispersion.

Atomic structure:
Lattice parameters (Å, degrees): 6.5701 8.6826 8.9190 69.15 83.76 80.66
Space group P-1 (No. 2)
Unique sites:
1 Dy 0.0000 0.0000 0.0000
2 Dy 0.0955 0.4242 0.6918
3 Dy 0.1338 0.1965 0.2681
4 Dy 0.2376 0.5759 0.9746
5 Dy 0.3331 0.0002 0.6661
6 Dy 0.4295 0.4242 0.3589
7 Dy 0.4673 0.1964 0.9339
8 Er 0.1991 0.8032 0.3995

Most intense lines, 2θ from 5° to 70°, by intensity:
index  Position (°2θ)  I_rel
2 1 2  32.19  100
0 2 3  32.27  24
1 1 -2  30.53  20
4 0 -2  62.76  15
3 4 3  57.42  14
-1 4 2  47.35  10
0 1 -3  37.75  8
0 2 6  62.86  8
1 0 4  45.04  7
3 2 0  44.94  7
-2 1 4  52.35  7
3 -3 0  58.40  5

***

Entry 4:
For ZrAsRuSe2, a GGA-PBE-relaxed structure gives the computed X-ray powder pattern in this record (Cu Kα X-rays).
Neutral-atom scattering factors, no anomalous dispersion.

Atomic structure:
Lattice parameters (Å, degrees): 5.1405 5.1405 5.2025 90.00 90.00 90.00
Space group P4/mmm (No. 123)
Unique sites:
1 Zr 0.0000 0.0000 0.0000
2 As 0.0000 0.0000 0.5000
3 Ru 0.5000 0.5000 0.5000
4 Se 0.0000 0.5000 0.0000

Most intense lines, 2θ from 5° to 70°, by intensity:
index  Position (°2θ)  I_rel
2 0 0  34.91  100
1 1 1  29.99  98
2 0 2  49.88  71
0 0 2  34.48  52
1 0 1  24.34  39
2 2 2  62.32  36
2 2 0  50.20  35
3 1 1  59.58  27
1 1 0  24.49  18
2 1 1  43.01  17
1 0 0  17.25  14
1 1 3  59.02  14

***

Question: What is the formula in the second record?
Answer: CrTc2Cl